Starting from a cell relaxed with PBE, the powder diffraction line list of SrP2O6 was computed for a wavelength of 1.5418 Å.

Principal peaks in the range 2θ from 10° to 90°, low angle first:
12.58 deg, rel. 100, hkl 0 0 1; 24.56 deg, rel. 31, hkl 1 1 -1; 25.05 deg, rel. 65, hkl 0 2 0; 25.56 deg, rel. 22, hkl 1 0 2; 26.73 deg, rel. 31, hkl -1 1 1; 30.57 deg, rel. 19, hkl 2 0 0

Crystal structure
```
data_SrP2O6
_cell_length_a 6.192
_cell_length_b 7.217
_cell_length_c 7.359
_cell_angle_alpha 86.16
_cell_angle_beta 73.08
_cell_angle_gamma 80.17
_space_group_name_H-M_alt 'P -1'
_space_group_IT_number 2
loop_
_space_group_symop_operation_xyz
'x,y,z'
'-x,-y,-z'
loop_
_atom_site_label
_atom_site_type_symbol
_atom_site_fract_x
_atom_site_fract_y
_atom_site_fract_z
_atom_site_occupancy
Sr1 Sr 0.193 0.226 0.486 1
P1 P 0.195 0.742 0.821 1
P2 P 0.354 0.729 0.328 1
O1 O 0.020 0.294 0.212 1
O2 O 0.199 0.914 0.336 1
O3 O 0.235 0.562 0.391 1
O4 O 0.242 0.717 0.007 1
O5 O 0.367 0.818 0.652 1
O6 O 0.392 0.291 0.736 1
```